1.
Computed PXRD pattern
Compound: KCuPH2O5
Radiation: λ = 1.5418 Å (Cu Kα)
Structure: the PBE geometry in the Materials Project
Peak positions follow from Bragg's law for the DFT cell and can differ from measured ones.

Cell and atoms:
a = 10.5988 Å, b = 6.8778 Å, c = 6.8091 Å
α = 90.00°, β = 92.79°, γ = 90.00°
Positions (direct):
K 0.1849 0.0761 0.4642
K 0.1849 0.4239 0.9642
K 0.8151 0.5761 0.0358
K 0.8151 0.9239 0.5358
Cu 0.4926 0.2036 0.7208
Cu 0.4926 0.2964 0.2208
Cu 0.5074 0.7036 0.7792
Cu 0.5074 0.7964 0.2792
P 0.3238 0.5340 0.5008
P 0.3238 0.9660 0.0008
P 0.6762 0.0340 0.9992
P 0.6762 0.4660 0.4992
H 0.0794 0.6348 0.3420
H 0.0794 0.8652 0.8420
H 0.0901 0.7137 0.6687
H 0.0901 0.7863 0.1687
H 0.9099 0.2137 0.8313
H 0.9099 0.2863 0.3313
H 0.9206 0.1348 0.1580
H 0.9206 0.3652 0.6580
O 0.0387 0.6780 0.2165
O 0.0387 0.8220 0.7165
O 0.1869 0.5364 0.5593
O 0.1869 0.9636 0.0593
O 0.3367 0.1137 0.8292
O 0.3367 0.3863 0.3292
O 0.3701 0.7427 0.4506
O 0.3701 0.7573 0.9506
O 0.4146 0.0357 0.1825
O 0.4146 0.4643 0.6825
O 0.5854 0.5357 0.3175
O 0.5854 0.9643 0.8175
O 0.6299 0.2427 0.0494
O 0.6299 0.2573 0.5494
O 0.6633 0.6137 0.6708
O 0.6633 0.8863 0.1708
O 0.8131 0.0364 0.9407
O 0.8131 0.4636 0.4407
O 0.9613 0.1780 0.2835
O 0.9613 0.3220 0.7835

Principal peaks in the range 2θ = 15–90°, by angle:
d_spacing	I_rel
4.342	35
3.193	30
2.965	89
2.927	70
2.898	48
2.884	90
2.801	100
2.593	40
2.418	49
1.644	29

---

2.
Computed PXRD pattern
Compound: KCu2H2S2O10
Radiation: λ = 1.5418 Å (Cu Kα)
Structure: the PBE geometry in the Materials Project
Peak positions follow from Bragg's law for the DFT cell and can differ from measured ones.

Cell and atoms:
a = 5.6323 Å, b = 5.6323 Å, c = 8.0305 Å
α = 114.23°, β = 114.23°, γ = 68.39°
Positions (direct):
K 0.0000 0.0000 0.0000
Cu 0.0000 0.5000 0.5000
Cu 0.5000 0.0000 0.5000
H 0.1954 0.1954 0.6888
H 0.8046 0.8046 0.3112
S 0.4246 0.4246 0.2174
S 0.5754 0.5754 0.7826
O 0.1696 0.1696 0.5537
O 0.2706 0.6647 0.7258
O 0.3208 0.3208 0.0087
O 0.3245 0.3245 0.3134
O 0.3353 0.7294 0.2742
O 0.6647 0.2706 0.7258
O 0.6755 0.6755 0.6866
O 0.6792 0.6792 0.9913
O 0.7294 0.3353 0.2742
O 0.8304 0.8304 0.4463

Principal peaks in the range 2θ = 15–90°, by angle:
d_spacing	I_rel
4.986	32
4.637	51
3.700	100
3.384	75
2.925	75
2.882	84
2.771	43
2.614	64
2.405	52
1.772	37

---

3.
Computed PXRD pattern
Compound: KCu2H3S2O10
Radiation: λ = 1.5418 Å (Cu Kα)
Structure: the PBE geometry in the Materials Project
Peak positions follow from Bragg's law for the DFT cell and can differ from measured ones.

Cell and atoms:
a = 5.5632 Å, b = 5.5632 Å, c = 7.8197 Å
α = 112.93°, β = 112.93°, γ = 70.20°
Positions (direct):
K 0.0000 0.0000 0.0000
Cu 0.0034 0.4948 0.5022
Cu 0.4948 0.0034 0.5022
H 0.2033 0.2033 0.7147
H 0.7970 0.7970 0.2820
H 0.9792 0.9792 0.4878
S 0.4211 0.4211 0.2151
S 0.5792 0.5792 0.7854
O 0.1556 0.1556 0.5718
O 0.2773 0.6636 0.7266
O 0.3159 0.3159 0.3133
O 0.3168 0.3168 0.0035
O 0.3368 0.7231 0.2737
O 0.6636 0.2773 0.7266
O 0.6834 0.6834 0.9970
O 0.6841 0.6841 0.6868
O 0.7231 0.3368 0.2737
O 0.8443 0.8443 0.4253

Principal peaks in the range 2θ = 15–90°, by angle:
d_spacing	I_rel
4.998	16
4.519	23
3.585	49
3.333	47
2.904	100
2.730	22
2.611	44
2.387	36
2.150	14
1.741	28

---

4.
Computed PXRD pattern
Compound: KCu2H2Se2O10
Radiation: λ = 1.5418 Å (Cu Kα)
Structure: the PBE geometry in the Materials Project
Peak positions follow from Bragg's law for the DFT cell and can differ from measured ones.

Cell and atoms:
a = 6.5569 Å, b = 6.5569 Å, c = 8.7184 Å
α = 121.58°, β = 121.58°, γ = 60.81°
Positions (direct):
K 0.0000 0.0000 0.0000
Cu 0.0000 0.5000 0.5000
Cu 0.5000 0.0000 0.5000
H 0.2038 0.2038 0.8746
H 0.7962 0.7962 0.1254
Se 0.4193 0.4193 0.1937
Se 0.5807 0.5807 0.8063
O 0.1985 0.1985 0.5086
O 0.2703 0.6950 0.7481
O 0.3050 0.7297 0.2519
O 0.3057 0.3057 0.2526
O 0.3110 0.3110 0.9352
O 0.6890 0.6890 0.0648
O 0.6943 0.6943 0.7474
O 0.6950 0.2703 0.7481
O 0.7297 0.3050 0.2519
O 0.8015 0.8015 0.4914

Principal peaks in the range 2θ = 15–90°, by angle:
d_spacing	I_rel
5.339	54
4.270	100
3.548	52
3.220	51
3.024	47
2.993	44
2.861	34
2.666	22
2.031	18
1.884	24

---

5.
Computed PXRD pattern
Compound: Li9Cu2H4O8
Radiation: λ = 1.5418 Å (Cu Kα)
Structure: the PBE geometry in the Materials Project
Peak positions follow from Bragg's law for the DFT cell and can differ from measured ones.

Cell and atoms:
a = 7.5168 Å, b = 5.4822 Å, c = 10.8369 Å
α = 90.00°, β = 90.00°, γ = 90.00°
Positions (direct):
Li 0.0000 0.1804 0.0090
Li 0.0000 0.2010 0.5000
Li 0.0000 0.3052 0.2780
Li 0.0000 0.6876 0.4521
Li 0.0000 0.8017 0.6840
Li 0.2459 0.9484 0.8882
Li 0.2497 0.4726 0.0667
Li 0.2503 0.5274 0.5667
Li 0.2541 0.0516 0.3882
Li 0.5000 0.1983 0.1840
Li 0.5000 0.3124 0.9521
Li 0.5000 0.6948 0.7780
Li 0.5000 0.7990 0.0000
Li 0.5000 0.8196 0.5090
Li 0.7459 0.0516 0.3882
Li 0.7503 0.4726 0.0667
Li 0.7497 0.5274 0.5667
Li 0.7541 0.9484 0.8882
Cu 0.0000 0.2596 0.7474
Cu 0.0000 0.7452 0.2044
Cu 0.5000 0.2548 0.7044
Cu 0.5000 0.7404 0.2474
H 0.2232 0.5153 0.8456
H 0.2377 0.0002 0.1192
H 0.2623 0.9998 0.6192
H 0.2768 0.4847 0.3456
H 0.7232 0.4847 0.3456
H 0.7377 0.9998 0.6192
H 0.7623 0.0002 0.1192
H 0.7768 0.5153 0.8456
O 0.0000 0.0051 0.8488
O 0.0000 0.4733 0.1139
O 0.0000 0.4747 0.6257
O 0.0000 0.9675 0.3233
O 0.1875 0.4092 0.3989
O 0.2078 0.9011 0.5536
O 0.2922 0.0989 0.0536
O 0.3125 0.5908 0.8989
O 0.5000 0.0325 0.8233
O 0.5000 0.5253 0.1257
O 0.5000 0.5267 0.6139
O 0.5000 0.9949 0.3488
O 0.6875 0.5908 0.8989
O 0.7078 0.0989 0.0536
O 0.7922 0.9011 0.5536
O 0.8125 0.4092 0.3989

Principal peaks in the range 2θ = 15–90°, by angle:
d_spacing	I_rel
5.418	41
4.892	91
3.758	47
3.088	81
3.016	62
2.980	100
2.691	25
2.445	29
1.927	27
1.715	22

---

6.
Computed PXRD pattern
Compound: LiCu2P3H2O10
Radiation: λ = 1.5418 Å (Cu Kα)
Structure: the PBE geometry in the Materials Project
Peak positions follow from Bragg's law for the DFT cell and can differ from measured ones.

Cell and atoms:
a = 7.5479 Å, b = 7.5498 Å, c = 8.3755 Å
α = 75.63°, β = 71.48°, γ = 69.82°
Positions (direct):
Li 0.0905 0.3012 0.3343
Li 0.9095 0.6988 0.6657
Cu 0.3708 0.5742 0.4070
Cu 0.4238 0.3009 0.9976
Cu 0.5762 0.6991 0.0024
Cu 0.6292 0.4258 0.5930
P 0.1269 0.7043 0.0796
P 0.2633 0.1689 0.6716
P 0.2828 0.7465 0.7112
P 0.7172 0.2535 0.2888
P 0.7367 0.8311 0.3284
P 0.8731 0.2957 0.9204
H 0.2468 0.0154 0.1513
H 0.3944 0.0017 0.2468
H 0.6056 0.9983 0.7532
H 0.7532 0.9846 0.8487
O 0.0880 0.1671 0.8439
O 0.1124 0.7762 0.8826
O 0.1461 0.4941 0.1264
O 0.1854 0.2907 0.5254
O 0.1895 0.7184 0.5858
O 0.2755 0.7772 0.1091
O 0.2894 0.0987 0.1965
O 0.3344 0.9438 0.6494
O 0.4265 0.1996 0.7163
O 0.4581 0.5920 0.7557
O 0.5419 0.4080 0.2443
O 0.5735 0.8004 0.2837
O 0.6656 0.0562 0.3506
O 0.7106 0.9013 0.8035
O 0.7245 0.2228 0.8909
O 0.8105 0.2816 0.4142
O 0.8146 0.7093 0.4746
O 0.8539 0.5059 0.8736
O 0.8876 0.2238 0.1174
O 0.9120 0.8329 0.1561

Principal peaks in the range 2θ = 15–90°, by angle:
d_spacing	I_rel
5.809	49
3.699	37
3.500	54
3.209	100
2.938	56
2.856	35
2.745	34
2.682	57
2.461	38
2.304	34

---

7.
Computed PXRD pattern
Compound: LiCuPH2O5
Radiation: λ = 1.5418 Å (Cu Kα)
Structure: the PBE geometry in the Materials Project
Peak positions follow from Bragg's law for the DFT cell and can differ from measured ones.

Cell and atoms:
a = 9.8297 Å, b = 6.9903 Å, c = 6.1381 Å
α = 90.00°, β = 93.49°, γ = 90.00°
Positions (direct):
Li 0.1566 0.0858 0.4033
Li 0.1566 0.4142 0.9033
Li 0.8434 0.5858 0.0967
Li 0.8434 0.9142 0.5967
Cu 0.4883 0.2028 0.7143
Cu 0.4883 0.2972 0.2143
Cu 0.5117 0.7028 0.7857
Cu 0.5117 0.7972 0.2857
P 0.3074 0.5275 0.5018
P 0.3074 0.9725 0.0018
P 0.6926 0.0275 0.9982
P 0.6926 0.4725 0.4982
H 0.0625 0.6059 0.3204
H 0.0625 0.8941 0.8204
H 0.0852 0.7286 0.6504
H 0.0852 0.7714 0.1504
H 0.9148 0.2286 0.8496
H 0.9148 0.2714 0.3496
H 0.9375 0.1059 0.1796
H 0.9375 0.3941 0.6796
O 0.0350 0.6493 0.1716
O 0.0350 0.8507 0.6716
O 0.1649 0.5256 0.5896
O 0.1649 0.9744 0.0896
O 0.3115 0.1199 0.8116
O 0.3115 0.3801 0.3116
O 0.3503 0.7335 0.4419
O 0.3503 0.7665 0.9419
O 0.4156 0.0379 0.1917
O 0.4156 0.4621 0.6917
O 0.5844 0.5379 0.3083
O 0.5844 0.9621 0.8083
O 0.6497 0.2335 0.0581
O 0.6497 0.2665 0.5581
O 0.6885 0.6199 0.6884
O 0.6885 0.8801 0.1884
O 0.8351 0.0256 0.9104
O 0.8351 0.4744 0.4104
O 0.9650 0.1493 0.3284
O 0.9650 0.3507 0.8284

Principal peaks in the range 2θ = 15–90°, by angle:
d_spacing	I_rel
4.906	42
4.607	100
3.289	73
2.925	54
2.875	39
2.847	82
2.673	34
2.659	59
2.530	63
2.305	64

---

> Which formula does entry 5 have?

Li9Cu2H4O8